Diffraction record for TbEr2In3. The PXRD pattern is computed, not measured: it uses a GGA-PBE-relaxed structure and Cu Kα, 1.54184 Å.
Peak positions follow from Bragg's law for the DFT cell and can differ from measured ones.

Peak list (10 most intense, 10 to 90 degrees two-theta, low angle first)
2θ/deg, intensity, hkl
33.3, 100, 1 0 3
35.9, 41, 1 1 0
43.5, 12, 0 0 6
51.7, 14, 2 0 0
57.6, 20, 1 1 6
62.9, 31, 2 1 3
69.8, 11, 2 0 6
73.3, 10, 1 0 9
85.7, 7, 3 0 3
87.2, 6, 3 1 0

Cell and atoms:
a = 3.5338 Å, b = 3.5338 Å, c = 12.4926 Å
α = 90.00°, β = 90.00°, γ = 90.00°
Atoms (fractional coordinates):
Tb 0.0000 0.0000 0.0000
Er 0.0000 0.0000 0.3346
Er 0.0000 0.0000 0.6654
In 0.5000 0.5000 0.1693
In 0.5000 0.5000 0.5000
In 0.5000 0.5000 0.8307



Diffraction record for NaSb5W3. The PXRD pattern is computed, not measured: it uses a GGA-PBE-relaxed structure and Cu Kα, 1.54184 Å.
Peak positions follow from Bragg's law for the DFT cell and can differ from measured ones.

Peak list (10 most intense, 10 to 90 degrees two-theta, low angle first)
2θ/deg, intensity, hkl
10.1, 100, 0 0 1
18.3, 20, 1 0 0
30.8, 17, 0 0 3
32.0, 13, 1 1 0
38.2, 20, 1 1 2
38.5, 36, 2 0 1
41.4, 13, 0 0 4
42.7, 51, 2 0 2
48.9, 12, 2 0 3
81.8, 11, 2 2 4

Cell and atoms:
a = 5.6008 Å, b = 5.6008 Å, c = 8.7177 Å
α = 90.00°, β = 90.00°, γ = 120.00°
Atoms (fractional coordinates):
Na 0.0000 0.0000 0.0000
Sb 0.0000 0.0000 0.5000
Sb 0.3333 0.6667 0.2268
Sb 0.3333 0.6667 0.7732
Sb 0.6667 0.3333 0.2268
Sb 0.6667 0.3333 0.7732
W 0.0000 0.5000 0.5000
W 0.5000 0.0000 0.5000
W 0.5000 0.5000 0.5000



Diffraction record for KRbIn4Au2. The PXRD pattern is computed, not measured: it uses a GGA-PBE-relaxed structure and Cu Kα, 1.54184 Å.
Peak positions follow from Bragg's law for the DFT cell and can differ from measured ones.

Peak list (10 most intense, 10 to 90 degrees two-theta, low angle first)
2θ/deg, intensity, hkl
14.2, 100, 0 0 2
22.8, 24, 1 1 1
28.6, 24, 0 1 3
29.6, 36, 2 1 1
30.6, 55, 1 1 3
30.7, 30, 1 0 4
36.1, 59, 2 0 4
37.9, 36, 0 2 0
38.5, 72, 3 1 1
43.9, 29, 4 0 0

Cell and atoms:
a = 8.2459 Å, b = 4.7435 Å, c = 12.4436 Å
α = 90.00°, β = 90.00°, γ = 90.00°
Atoms (fractional coordinates):
K 0.0000 0.0000 0.0000
K 0.0000 0.5000 0.5000
Rb 0.5000 0.0000 0.0920
Rb 0.5000 0.5000 0.5920
In 0.1903 0.0000 0.7137
In 0.1903 0.5000 0.2137
In 0.3053 0.0000 0.3801
In 0.3053 0.5000 0.8801
In 0.6947 0.0000 0.3801
In 0.6947 0.5000 0.8801
In 0.8097 0.0000 0.7137
In 0.8097 0.5000 0.2137
Au 0.0000 0.0000 0.2725
Au 0.0000 0.5000 0.7725
Au 0.5000 0.0000 0.8184
Au 0.5000 0.5000 0.3184



Diffraction record for Cu3SbS3. The PXRD pattern is computed, not measured: it uses a GGA-PBE-relaxed structure and Cu Kα, 1.54184 Å.
Peak positions follow from Bragg's law for the DFT cell and can differ from measured ones.

Peak list (10 most intense, 10 to 90 degrees two-theta, low angle first)
2θ/deg, intensity, hkl
22.5, 31, 0 2 0
27.7, 43, 1 2 1
29.1, 35, 2 1 0
29.5, 27, 1 0 3
31.6, 100, 1 1 3
34.1, 29, 2 1 2
37.8, 20, 1 3 1
39.5, 17, 2 2 2
50.4, 37, 3 1 3
52.3, 18, 1 2 5

Cell and atoms:
a = 6.6617 Å, b = 7.9040 Å, c = 10.2117 Å
α = 90.00°, β = 90.00°, γ = 90.00°
Atoms (fractional coordinates):
Cu 0.0226 0.0652 0.0301
Cu 0.0777 0.6835 0.1026
Cu 0.1447 0.8470 0.3984
Cu 0.3553 0.1530 0.8984
Cu 0.4223 0.3165 0.6026
Cu 0.4774 0.9348 0.5301
Cu 0.5226 0.4348 0.9699
Cu 0.5777 0.8165 0.8974
Cu 0.6447 0.6530 0.6016
Cu 0.8553 0.3470 0.1016
Cu 0.9223 0.1835 0.3974
Cu 0.9774 0.5652 0.4699
Sb 0.1274 0.7188 0.7546
Sb 0.3726 0.2812 0.2546
Sb 0.6274 0.7812 0.2454
Sb 0.8726 0.2188 0.7454
S 0.0843 0.3248 0.9305
S 0.0886 0.3248 0.5612
S 0.1100 0.0514 0.2469
S 0.3900 0.9486 0.7469
S 0.4114 0.6752 0.0612
S 0.4157 0.6752 0.4305
S 0.5843 0.1752 0.0695
S 0.5886 0.1752 0.4388
S 0.6100 0.4486 0.7531
S 0.8900 0.5514 0.2531
S 0.9114 0.8248 0.9388
S 0.9157 0.8248 0.5695